No. 1
Computed powder diffraction line list
Compound: Mg2CrGa3S8
Radiation: a wavelength of 1.5418 Å
Structure: the GGA-PBE geometry in the Materials Project

Cell and atoms:
Cell: 7.3067 7.3067 17.9449 Å, 90.00 90.00 120.00°
Space group R-3m (No. 166, hexagonal axes)
One atom of each set of equivalent atoms:
Mg1 0.0000 0.0000 0.1253
Cr1 0.0000 0.0000 0.5000
Ga1 0.0000 0.5000 0.0000
S1 0.0000 0.0000 0.2610
S2 0.0342 0.5171 0.2518

Largest 10 diffraction maxima, by angle, 2θ from 5° to 70°:
| d (Å) | I/Imax |
| --- | --- |
| 5.972 | 831 |
| 3.118 | 803 |
| 2.586 | 1000 |
| 1.991 | 359 |
| 1.989 | 118 |
| 1.828 | 941 |
| 1.747 | 97 |
| 1.576 | 85 |
| 1.492 | 145 |
| 1.346 | 122 |


No. 2
Computed powder diffraction line list
Compound: Mn2Cr3GaS8
Radiation: a wavelength of 1.5418 Å
Structure: the GGA-PBE geometry in the Materials Project

Cell and atoms:
Cell: 7.1924 7.1924 17.6401 Å, 90.00 90.00 120.00°
Space group R-3m (No. 166, hexagonal axes)
One atom of each set of equivalent atoms:
Mn1 0.0000 0.0000 0.1251
Cr1 0.0000 0.5000 0.0000
Ga1 0.0000 0.0000 0.5000
S1 0.0000 0.0000 0.2608
S2 0.0259 0.5130 0.2552

Largest 10 diffraction maxima, by angle, 2θ from 5° to 70°:
| d (Å) | I/Imax |
| --- | --- |
| 5.874 | 207 |
| 3.597 | 301 |
| 3.068 | 1000 |
| 2.544 | 584 |
| 2.077 | 107 |
| 1.958 | 506 |
| 1.799 | 926 |
| 1.552 | 118 |
| 1.469 | 110 |
| 1.360 | 63 |


No. 3
Computed powder diffraction line list
Compound: Mn2CrGa3Se8
Radiation: a wavelength of 1.5418 Å
Structure: the GGA-PBE geometry in the Materials Project

Cell and atoms:
Cell: 3.9037 3.9037 79.4720 Å, 90.00 90.00 120.00°
Space group R3m (No. 160, hexagonal axes)
One atom of each set of equivalent atoms:
Mn1 0.0000 0.0000 0.0000
Mn2 0.0000 0.0000 0.5001
Cr1 0.0000 0.0000 0.2352
Ga1 0.0000 0.0000 0.1181
Ga2 0.0000 0.0000 0.6177
Ga3 0.0000 0.0000 0.7357
Se1 0.0000 0.0000 0.0555
Se2 0.0000 0.0000 0.1789
Se3 0.0000 0.0000 0.2662
Se4 0.0000 0.0000 0.4680
Se5 0.0000 0.0000 0.5562
Se6 0.0000 0.0000 0.6792
Se7 0.0000 0.0000 0.7661
Se8 0.0000 0.0000 0.9683

Largest 10 diffraction maxima, by angle, 2θ from 5° to 70°:
| d (Å) | I/Imax |
| --- | --- |
| 13.245 | 424 |
| 4.415 | 581 |
| 3.369 | 420 |
| 3.333 | 535 |
| 3.111 | 343 |
| 2.905 | 721 |
| 2.795 | 457 |
| 2.001 | 283 |
| 1.952 | 1000 |
| 1.923 | 802 |